Computed powder diffractogram
Compound: Cs4Rb2Co2O5
Radiation: Cu Kα
Structure: DFT lattice parameters and positions (PBE+U)
Intensities are scaled so that the largest is 100.

Largest 10 diffraction maxima, low angle first, 10° ≤ 2θ ≤ 90°:
two_theta, Rel. int.
24.31, 22
25.13, 23
27.58, 40
28.47, 92
28.69, 24
29.01, 100
29.40, 43
33.13, 30
36.37, 29
37.00, 33

Crystal structure
a b c (Å): 7.364 12.151 7.181
angles (deg): 90.00 96.12 90.00
Space group Cm (No. 8)
One atom of each set of equivalent atoms:
Cs: 0.000 0.204 0.000 [4 per cell]
Cs: 0.495 0.255 0.502 [4 per cell]
Rb: 0.126 0.500 0.826 [2 per cell]
Rb: 0.349 0.000 0.183 [2 per cell]
Co: 0.200 0.000 0.664 [2 per cell]
Co: 0.296 0.500 0.302 [2 per cell]
O: 0.041 0.000 0.446 [2 per cell]
O: 0.196 0.368 0.233 [4 per cell]
O: 0.304 0.126 0.787 [4 per cell]